# 1
Sr3Ga2Cu3: simulated powder diffraction line list (copper Kα), based on DFT lattice parameters and positions (PBE).

Largest 6 diffraction maxima, by intensity, 2θ = 10–90°:
2theta  I_rel  hkl
36.45  100.0  3 0 1
34.88  88.8  1 3 2
30.60  84.0  1 1 2
32.32  71.0  2 4 0
38.29  68.2  1 4 2
31.62  60.5  2 3 1

Atomic structure:
a = 8.0114 Å, b = 15.3387 Å, c = 6.4104 Å
α = 90.00°, β = 90.00°, γ = 90.00°
Space group Pnma (No. 62)
Inequivalent atoms, fractional coordinates:
Sr 0.0099 0.1050 0.1450 [8 per cell]
Sr 0.1435 0.2500 0.6311 [4 per cell]
Ga 0.1486 0.5926 0.3638 [8 per cell]
Cu 0.1493 0.0393 0.5988 [8 per cell]
Cu 0.2008 0.7500 0.5723 [4 per cell]

***

# 2
Mg2Rh6C: simulated powder diffraction line list (copper Kα), based on DFT lattice parameters and positions (PBE).

Largest 6 diffraction maxima, by intensity, 2θ = 10–90°:
2theta  I_rel  hkl
39.28  100.0  2 2 2
45.67  51.1  4 0 0
80.11  35.4  6 2 2
66.57  31.8  4 4 0
22.38  21.8  2 0 0
31.85  12.8  2 2 0

Atomic structure:
a = 7.9462 Å, b = 7.9462 Å, c = 7.9462 Å
α = 90.00°, β = 90.00°, γ = 90.00°
Space group Fm-3m (No. 225)
Inequivalent atoms, fractional coordinates:
Mg 0.2500 0.2500 0.2500 [8 per cell]
Rh 0.0000 0.0000 0.2432 [24 per cell]
C 0.0000 0.0000 0.5000 [4 per cell]

***

# 3
Pm3Tl3Hg2: simulated powder diffraction line list (copper Kα), based on DFT lattice parameters and positions (PBE).

Largest 6 diffraction maxima, by intensity, 2θ = 10–90°:
2theta  I_rel  hkl
32.11  100.0  1 1 1
32.63  73.0  2 1 0
34.47  39.4  2 0 1
40.82  35.8  2 1 1
37.15  34.5  3 0 0
63.83  26.3  4 1 1

Atomic structure:
a = 8.3831 Å, b = 8.3831 Å, c = 3.7317 Å
α = 90.00°, β = 90.00°, γ = 120.00°
Space group P-62m (No. 189)
Inequivalent atoms, fractional coordinates:
Pm 0.0000 0.6164 0.0000 [3 per cell]
Tl 0.0000 0.2396 0.5000 [3 per cell]
Hg 0.3333 0.6667 0.5000 [2 per cell]

***

# 4
TaNbCrTc: simulated powder diffraction line list (copper Kα), based on DFT lattice parameters and positions (PBE).

Largest 6 diffraction maxima, by intensity, 2θ = 10–90°:
2theta  I_rel  hkl
40.53  100.0  1 1 0
73.76  21.9  2 1 2
58.71  11.0  2 0 0
73.64  10.9  1 1 4
28.35  9.9  1 0 0
14.04  9.5  0 0 1

Atomic structure:
a = 3.1452 Å, b = 3.1452 Å, c = 6.3073 Å
α = 90.00°, β = 90.00°, γ = 90.00°
Space group P4mm (No. 99)
Inequivalent atoms, fractional coordinates:
Ta 0.0000 0.0000 0.0000 [1 per cell]
Nb 0.0000 0.0000 0.4879 [1 per cell]
Cr 0.5000 0.5000 0.2440 [1 per cell]
Tc 0.5000 0.5000 0.7451 [1 per cell]

***

# 5
HfAuS3: simulated powder diffraction line list (copper Kα), based on DFT lattice parameters and positions (PBE).

Largest 6 diffraction maxima, by intensity, 2θ = 10–90°:
2theta  I_rel  hkl
27.46  100.0  1 1 1
26.19  86.8  4 0 -2
18.55  44.1  4 0 0
43.26  37.9  3 1 -3
32.78  37.5  5 1 -1
27.97  32.8  6 0 0

Atomic structure:
a = 20.0647 Å, b = 3.8303 Å, c = 7.5118 Å
α = 90.00°, β = 107.49°, γ = 90.00°
Space group C2/m (No. 12)
Inequivalent atoms, fractional coordinates:
Hf 0.0949 0.0000 0.4389 [4 per cell]
Au 0.0735 0.5000 0.9428 [4 per cell]
S 0.0358 0.0000 0.7129 [4 per cell]
S 0.1228 0.0000 0.1398 [4 per cell]
S 0.1641 0.5000 0.5685 [4 per cell]

***

# 6
Pr4NiS7: simulated powder diffraction line list (copper Kα), based on DFT lattice parameters and positions (PBE).

Largest 6 diffraction maxima, by intensity, 2θ = 10–90°:
2theta  I_rel  hkl
24.48  100.0  2 0 1
36.40  40.3  2 2 0
33.34  38.4  2 0 2
44.69  30.2  2 0 3
44.36  18.1  4 0 1
45.14  17.3  2 2 2

Atomic structure:
a = 9.8734 Å, b = 9.8734 Å, c = 6.9096 Å
α = 90.00°, β = 90.00°, γ = 120.00°
Space group P6_3 (No. 173)
Inequivalent atoms, fractional coordinates:
Pr 0.1615 0.7885 0.0000 [6 per cell]
Pr 0.3333 0.6667 0.5442 [2 per cell]
Ni 0.0000 0.0000 0.1720 [2 per cell]
S 0.0690 0.5143 0.7573 [6 per cell]
S 0.0989 0.8775 0.3888 [6 per cell]
S 0.3333 0.6667 0.1582 [2 per cell]

***

# 7
La10TbDy4: simulated powder diffraction line list (copper Kα), based on DFT lattice parameters and positions (PBE).

Largest 6 diffraction maxima, by intensity, 2θ = 10–90°:
2theta  I_rel  hkl
31.96  100.0  3 1 2
32.07  49.6  2 4 0
19.43  46.4  1 2 1
57.10  38.3  5 5 2
56.90  19.4  2 4 4
45.98  18.2  6 2 0

Atomic structure:
a = 12.4823 Å, b = 12.4823 Å, c = 7.9446 Å
α = 90.00°, β = 90.00°, γ = 90.00°
Space group I4/m (No. 87)
Inequivalent atoms, fractional coordinates:
La 0.0000 0.5000 0.2500 [4 per cell]
La 0.0997 0.2006 0.2501 [16 per cell]
Tb 0.0000 0.0000 0.0000 [2 per cell]
Dy 0.1003 0.7003 0.5000 [8 per cell]

***

# 8
Na5B7C3: simulated powder diffraction line list (copper Kα), based on DFT lattice parameters and positions (PBE).

Largest 6 diffraction maxima, by intensity, 2θ = 10–90°:
2theta  I_rel  hkl
41.93  100.0  1 3 3
41.17  51.3  2 1 3
42.19  37.8  0 0 4
36.03  17.9  1 3 1
63.66  17.9  3 4 2
79.36  17.2  3 4 6

Atomic structure:
a = 5.1038 Å, b = 7.5839 Å, c = 9.0537 Å
α = 75.88°, β = 73.64°, γ = 70.35°
Space group P1 (No. 1)
Inequivalent atoms, fractional coordinates:
Na 0.0000 0.0000 0.0000 [1 per cell]
Na 0.0018 0.5005 0.4929 [1 per cell]
Na 0.2010 0.5980 0.0001 [1 per cell]
Na 0.2034 0.1001 0.4932 [1 per cell]
Na 0.4011 0.1987 0.9958 [1 per cell]
Na 0.4049 0.7003 0.4905 [1 per cell]
Na 0.5972 0.7983 0.0035 [1 per cell]
Na 0.6006 0.3006 0.4951 [1 per cell]
Na 0.7999 0.4010 0.9959 [1 per cell]
Na 0.8027 0.9019 0.4876 [1 per cell]
B 0.0316 0.3505 0.2456 [1 per cell]
B 0.0494 0.8496 0.7457 [1 per cell]
B 0.1685 0.7498 0.2453 [1 per cell]
B 0.1778 0.2412 0.7453 [1 per cell]
B 0.2298 0.9613 0.2454 [1 per cell]
B 0.2392 0.4573 0.7458 [1 per cell]
B 0.3790 0.8499 0.7454 [1 per cell]
B 0.4412 0.5385 0.2454 [1 per cell]
B 0.5686 0.4591 0.7456 [1 per cell]
B 0.6321 0.1496 0.2455 [1 per cell]
B 0.7402 0.0407 0.7451 [1 per cell]
B 0.8151 0.7496 0.2455 [1 per cell]
B 0.8466 0.2426 0.7455 [1 per cell]
B 0.9302 0.6591 0.7456 [1 per cell]
C 0.3746 0.3444 0.2455 [1 per cell]
C 0.4372 0.0455 0.7446 [1 per cell]
C 0.5656 0.9525 0.2458 [1 per cell]
C 0.6322 0.6545 0.7454 [1 per cell]
C 0.7684 0.5473 0.2455 [1 per cell]
C 0.9691 0.1557 0.2455 [1 per cell]

***

Copy entry 7 word for word.
La10TbDy4: simulated powder diffraction line list (copper Kα), based on DFT lattice parameters and positions (PBE).

Largest 6 diffraction maxima, by intensity, 2θ = 10–90°:
2theta  I_rel  hkl
31.96  100.0  3 1 2
32.07  49.6  2 4 0
19.43  46.4  1 2 1
57.10  38.3  5 5 2
56.90  19.4  2 4 4
45.98  18.2  6 2 0

Atomic structure:
a = 12.4823 Å, b = 12.4823 Å, c = 7.9446 Å
α = 90.00°, β = 90.00°, γ = 90.00°
Space group I4/m (No. 87)
Inequivalent atoms, fractional coordinates:
La 0.0000 0.5000 0.2500 [4 per cell]
La 0.0997 0.2006 0.2501 [16 per cell]
Tb 0.0000 0.0000 0.0000 [2 per cell]
Dy 0.1003 0.7003 0.5000 [8 per cell]